Entry 1:
Computed X-ray powder pattern of GaCo4Ge3 for Cu Kα, from the GGA-PBE geometry in Alexandria.
Neutral-atom scattering factors, no anomalous dispersion.

Peak list (6 most intense, 2θ = 10–90°, in order of falling intensity)
2θ (°), d (Å), I_rel, hkl
43.48, 2.081, 100, 2 -1 3
43.85, 2.065, 89, 2 1 1
48.16, 1.889, 48, 1 2 2
48.33, 1.883, 27, 3 0 0
47.66, 1.908, 24, 1 0 4
33.60, 2.667, 22, 0 2 1

Structural model:
Unit cell a=6.5232 b=6.5232 c=8.1093 alpha=90.00 beta=90.00 gamma=120.00
Space group R3 (No. 146, hexagonal axes)
Unique sites:
Ga  0.0000  0.0000  0.0000 x3
Co  0.0000  0.0000  0.3007 x3
Co  0.0128  0.2573  0.7778 x9
Ge  0.1025  0.7139  0.2125 x9

---

Entry 2:
Computed X-ray powder pattern of Ga3Co4Ge for Cu Kα, from the GGA-PBE geometry in Alexandria.
Neutral-atom scattering factors, no anomalous dispersion.

Peak list (6 most intense, 2θ = 10–90°, in order of falling intensity)
2θ (°), d (Å), I_rel, hkl
43.39, 2.085, 100, 2 1 1
43.79, 2.067, 91, 2 -1 3
47.91, 1.899, 51, 3 -2 2
48.46, 1.878, 25, 1 0 4
47.72, 1.906, 24, 3 0 0
38.79, 2.321, 21, 2 0 2

Structural model:
Unit cell a=6.6016 b=6.6016 c=7.9552 alpha=90.00 beta=90.00 gamma=120.00
Space group R3 (No. 146, hexagonal axes)
Unique sites:
Ga  0.1088  0.7094  0.0000 x9
Co  0.0000  0.0000  0.0837 x3
Co  0.0231  0.2621  0.5698 x9
Ge  0.0000  0.0000  0.7880 x3

---

Entry 3:
Computed X-ray powder pattern of Ga2Co8Ge3 for Cu Kα, from the GGA-PBE geometry in Alexandria.
Neutral-atom scattering factors, no anomalous dispersion.

Peak list (6 most intense, 2θ = 10–90°, in order of falling intensity)
2θ (°), d (Å), I_rel, hkl
43.62, 2.075, 100, 0 1 11
44.38, 2.041, 69, 2 0 2
37.71, 2.385, 57, 1 1 0
47.25, 1.924, 45, 2 0 5
72.17, 1.309, 41, 1 2 11
43.14, 2.097, 31, 1 1 6

Structural model:
Unit cell a=4.7709 b=4.7709 c=26.3968 alpha=90.00 beta=90.00 gamma=120.00
Space group R-3m (No. 166, hexagonal axes)
Unique sites:
Ga  0.0000  0.0000  0.1354 x6
Co  0.0000  0.0000  0.2261 x6
Co  0.0005  0.5003  0.7245 x18
Ge  0.0000  0.0000  0.3130 x6
Ge  0.0000  0.0000  0.5000 x3

---

Entry 4:
Computed X-ray powder pattern of GaCo3Ge3 for Cu Kα, from the GGA-PBE geometry in Alexandria.
Neutral-atom scattering factors, no anomalous dispersion.

Peak list (6 most intense, 2θ = 10–90°, in order of falling intensity)
2θ (°), d (Å), I_rel, hkl
44.26, 2.046, 100, 2 2 0
44.84, 2.022, 96, 2 0 2
81.87, 1.177, 31, 4 2 2
64.83, 1.438, 30, 0 4 2
81.46, 1.181, 15, 6 0 0
83.08, 1.162, 15, 0 2 4

Structural model:
Unit cell a=8.1855 b=8.1855 c=4.9221 alpha=90.00 beta=90.00 gamma=120.00
Space group R-3m (No. 166, hexagonal axes)
Unique sites:
Ga  0.0000  0.0000  0.0000 x3
Co  0.0000  0.5000  0.5000 x9
Ge  0.0000  0.5000  0.0000 x9

---

Entry 5:
Computed X-ray powder pattern of Ga2Co3Ge for Cu Kα, from the GGA-PBE geometry in Alexandria.
Neutral-atom scattering factors, no anomalous dispersion.

Peak list (6 most intense, 2θ = 10–90°, in order of falling intensity)
2θ (°), d (Å), I_rel, hkl
44.29, 2.045, 100, 2 0 0
81.48, 1.181, 20, 3 3 1
64.38, 1.447, 10, 2 6 0
81.58, 1.180, 10, 2 0 2
64.52, 1.444, 5, 0 0 2
30.91, 2.893, 1, 1 3 0

Structural model:
Unit cell a=4.091 b=12.288 c=2.889 alpha=90.00 beta=90.00 gamma=90.00
Space group Pmmn (No. 59, origin choice 2)
Unique sites:
Ga  0.250  0.079  0.000 x4
Co  0.250  0.250  0.499 x2
Co  0.250  0.590  0.500 x4
Ge  0.250  0.750  0.001 x2

---

Entry 6:
Computed X-ray powder pattern of NdGa2Co2Ge for Cu Kα, from the GGA-PBE geometry in Alexandria.
Neutral-atom scattering factors, no anomalous dispersion.

Peak list (6 most intense, 2θ = 10–90°, in order of falling intensity)
2θ (°), d (Å), I_rel, hkl
37.81, 2.379, 100, 1 0 2
41.44, 2.179, 69, 2 0 0
57.34, 1.607, 58, 2 1 2
28.98, 3.082, 44, 1 1 0
33.07, 2.709, 42, 1 1 1
60.05, 1.541, 22, 2 2 0

Structural model:
Unit cell a=4.358 b=4.358 c=5.680 alpha=90.00 beta=90.00 gamma=90.00
Space group P4/mmm (No. 123)
Unique sites:
Nd  0.000  0.000  0.000 x1
Ga  0.500  0.500  0.245 x2
Co  0.000  0.500  0.500 x2
Ge  0.000  0.000  0.500 x1

---

Entry 7:
Computed X-ray powder pattern of PmGa2CoGe for Cu Kα, from the GGA-PBE geometry in Alexandria.
Neutral-atom scattering factors, no anomalous dispersion.

Peak list (6 most intense, 2θ = 10–90°, in order of falling intensity)
2θ (°), d (Å), I_rel, hkl
35.42, 2.534, 100, 1 1 2
33.34, 2.687, 42, 1 0 3
33.02, 2.712, 40, 0 1 3
44.25, 2.047, 28, 0 2 0
45.21, 2.006, 26, 2 0 0
47.38, 1.919, 22, 0 1 5

Structural model:
Unit cell a=4.011 b=4.094 c=10.860 alpha=90.00 beta=90.00 gamma=90.00
Space group Imm2 (No. 44)
Unique sites:
Pm  0.000  0.000  0.000 x2
Ga  0.000  0.000  0.377 x2
Ga  0.000  0.500  0.251 x2
Co  0.000  0.500  0.739 x2
Ge  0.000  0.000  0.612 x2

---

Entry 8:
Computed X-ray powder pattern of UGaCo2Ge2 for Cu Kα, from the GGA-PBE geometry in Alexandria.
Neutral-atom scattering factors, no anomalous dispersion.

Peak list (6 most intense, 2θ = 10–90°, in order of falling intensity)
2θ (°), d (Å), I_rel, hkl
38.56, 2.335, 100, 1 0 2
58.29, 1.583, 69, 2 1 2
41.95, 2.154, 64, 2 0 0
33.55, 2.671, 60, 1 1 1
29.32, 3.046, 54, 1 1 0
26.18, 3.404, 27, 1 0 1

Structural model:
Unit cell a=4.307 b=4.307 c=5.557 alpha=90.00 beta=90.00 gamma=90.00
Space group P4/mmm (No. 123)
Unique sites:
U  0.000  0.000  0.000 x1
Ga  0.000  0.000  0.500 x1
Co  0.000  0.500  0.500 x2
Ge  0.500  0.500  0.240 x2

---

Entry 9:
Computed X-ray powder pattern of YGa2Co2Ge for Cu Kα, from the GGA-PBE geometry in Alexandria.
Neutral-atom scattering factors, no anomalous dispersion.

Peak list (6 most intense, 2θ = 10–90°, in order of falling intensity)
2θ (°), d (Å), I_rel, hkl
38.58, 2.334, 100, 1 0 2
41.60, 2.171, 79, 2 0 0
58.03, 1.589, 59, 2 1 2
29.09, 3.070, 39, 1 1 0
33.38, 2.685, 34, 1 1 1
60.29, 1.535, 25, 2 2 0

Structural model:
Unit cell a=4.342 b=4.342 c=5.535 alpha=90.00 beta=90.00 gamma=90.00
Space group P4/mmm (No. 123)
Unique sites:
Y  0.000  0.000  0.000 x1
Ga  0.500  0.500  0.240 x2
Co  0.000  0.500  0.500 x2
Ge  0.000  0.000  0.500 x1

---

Entry 10:
Computed X-ray powder pattern of GaCo3H for Cu Kα, from the GGA-PBE geometry in Alexandria.
Neutral-atom scattering factors, no anomalous dispersion.

Peak list (6 most intense, 2θ = 10–90°, in order of falling intensity)
2θ (°), d (Å), I_rel, hkl
45.94, 1.976, 100, 2 4 -1
46.45, 1.955, 86, 2 4 1
43.24, 2.092, 74, 4 0 0
46.23, 1.964, 48, 2 0 2
45.21, 2.006, 44, 2 0 -2
40.52, 2.226, 42, 0 4 1

Structural model:
Unit cell a=8.372 b=10.240 c=4.509 alpha=90.00 beta=91.46 gamma=90.00
Space group C2/c (No. 15)
Unique sites:
Ga  0.138  0.072  0.074 x8
Co  0.123  0.311  0.092 x8
Co  0.123  0.433  0.580 x8
Co  0.129  0.185  0.578 x8
H  0.000  0.306  0.750 x4
H  0.000  0.441  0.250 x4

---

Entry 11:
Computed X-ray powder pattern of NpGaCo4H6 for Cu Kα, from the GGA-PBE geometry in Alexandria.
Neutral-atom scattering factors, no anomalous dispersion.

Peak list (6 most intense, 2θ = 10–90°, in order of falling intensity)
2θ (°), d (Å), I_rel, hkl
36.94, 2.434, 100, 1 0 2
42.80, 2.113, 68, 1 1 0
27.96, 3.191, 61, 1 0 1
24.32, 3.660, 30, 1 0 0
57.79, 1.595, 27, 2 0 2
74.53, 1.273, 25, 2 1 2

Structural model:
Unit cell a=4.2257 b=4.2257 c=6.5172 alpha=90.00 beta=90.00 gamma=120.00
Space group P6/mmm (No. 191)
Unique sites:
Np  0.0000  0.0000  0.0000 x1
Ga  0.0000  0.0000  0.5000 x1
Co  0.3333  0.6667  0.3205 x4
H  0.0000  0.5000  0.1517 x6

---

Entry 12:
Computed X-ray powder pattern of PmGaCoH2 for Cu Kα, from the GGA-PBE geometry in Alexandria.
Neutral-atom scattering factors, no anomalous dispersion.

Peak list (6 most intense, 2θ = 10–90°, in order of falling intensity)
2θ (°), d (Å), I_rel, hkl
37.57, 2.394, 100, 1 3 1
39.44, 2.285, 99, 1 1 2
28.89, 3.091, 87, 1 1 1
36.90, 2.436, 87, 0 4 1
34.20, 2.621, 62, 1 3 0
58.41, 1.580, 49, 0 4 3

Structural model:
Unit cell a=3.864 b=10.706 c=5.876 alpha=90.00 beta=90.00 gamma=90.00
Space group Cmcm (No. 63)
Unique sites:
Pm  0.000  0.202  0.250 x4
Ga  0.000  0.072  0.750 x4
Co  0.000  0.500  0.000 x4
H  0.000  0.350  0.546 x8